[1]
Computed X-ray diffraction stick pattern
Compound: Mg6ZnCu
Radiation: λ = 1.5418 Å (Cu Kα)
Structure: a PBE-relaxed structure
Kinematic intensities with the Lorentz-polarization factor, no thermal factor.

Principal peaks in the range 2θ = 10–80°, sorted by position:
2θ = 17.14°, d = 5.172 Å, rel. 24; 2θ = 18.34°, d = 4.838 Å, rel. 19; 2θ = 33.48°, d = 2.677 Å, rel. 30; 2θ = 37.17°, d = 2.419 Å, rel. 36; 2θ = 38.43°, d = 2.342 Å, rel. 100; 2θ = 39.51°, d = 2.281 Å, rel. 46; 2θ = 50.88°, d = 1.795 Å, rel. 18; 2θ = 67.85°, d = 1.381 Å, rel. 17

Crystal structure
a b c (Å): 4.8380 6.0447 6.0447
angles (deg): 62.34 90.00 90.00
Element x y z (fractional)
Mg  0.0000  0.0000  0.0000
Mg  0.0000  0.4866  0.9940
Mg  0.0000  0.4977  0.4977
Mg  0.0000  0.9940  0.4866
Mg  0.5000  0.1633  0.6638
Mg  0.5000  0.6638  0.1633
Zn  0.5000  0.6610  0.6610
Cu  0.5000  0.1612  0.1612

---

[2]
Computed X-ray diffraction stick pattern
Compound: Mg6ZnCu
Radiation: λ = 1.5418 Å (Cu Kα)
Structure: a PBE-relaxed structure
Kinematic intensities with the Lorentz-polarization factor, no thermal factor.

Principal peaks in the range 2θ = 10–80°, sorted by position:
2θ = 17.00°, d = 5.215 Å, rel. 37; 2θ = 34.39°, d = 2.607 Å, rel. 22; 2θ = 34.69°, d = 2.586 Å, rel. 17; 2θ = 36.34°, d = 2.472 Å, rel. 40; 2θ = 38.69°, d = 2.327 Å, rel. 49; 2θ = 39.05°, d = 2.306 Å, rel. 100; 2θ = 67.20°, d = 1.393 Å, rel. 19; 2θ = 73.20°, d = 1.293 Å, rel. 18

Crystal structure
a b c (Å): 4.9445 6.0684 6.0684
angles (deg): 59.24 90.00 90.00
Element x y z (fractional)
Mg  0.0000  0.0000  0.0000
Mg  0.0000  0.0156  0.4975
Mg  0.0000  0.4975  0.0156
Mg  0.5000  0.3360  0.8256
Mg  0.5000  0.8256  0.3360
Mg  0.5000  0.8351  0.8351
Zn  0.0000  0.4995  0.4995
Cu  0.5000  0.3334  0.3334

---

[3]
Computed X-ray diffraction stick pattern
Compound: Mg6ZrCu
Radiation: λ = 1.5418 Å (Cu Kα)
Structure: a PBE-relaxed structure
Kinematic intensities with the Lorentz-polarization factor, no thermal factor.

Principal peaks in the range 2θ = 10–80°, sorted by position:
2θ = 15.84°, d = 5.596 Å, rel. 28; 2θ = 16.58°, d = 5.347 Å, rel. 76; 2θ = 33.54°, d = 2.672 Å, rel. 74; 2θ = 36.66°, d = 2.451 Å, rel. 47; 2θ = 36.99°, d = 2.430 Å, rel. 86; 2θ = 38.35°, d = 2.347 Å, rel. 100; 2θ = 50.51°, d = 1.807 Å, rel. 29; 2θ = 73.42°, d = 1.290 Å, rel. 24

Crystal structure
a b c (Å): 4.9030 6.3696 6.3696
angles (deg): 57.08 90.00 90.00
Element x y z (fractional)
Mg  0.0000  0.0000  0.0000
Mg  0.0000  0.5001  0.9889
Mg  0.0000  0.9889  0.5001
Mg  0.5000  0.1531  0.6444
Mg  0.5000  0.1570  0.1570
Mg  0.5000  0.6444  0.1531
Zr  0.5000  0.6374  0.6374
Cu  0.0000  0.5092  0.5092

---

[4]
Computed X-ray diffraction stick pattern
Compound: Mg6ZrCu
Radiation: λ = 1.5418 Å (Cu Kα)
Structure: a PBE-relaxed structure
Kinematic intensities with the Lorentz-polarization factor, no thermal factor.

Principal peaks in the range 2θ = 10–80°, sorted by position:
2θ = 15.38°, d = 5.763 Å, rel. 48; 2θ = 18.17°, d = 4.883 Å, rel. 30; 2θ = 23.88°, d = 3.726 Å, rel. 27; 2θ = 33.90°, d = 2.645 Å, rel. 42; 2θ = 36.20°, d = 2.482 Å, rel. 69; 2θ = 36.81°, d = 2.442 Å, rel. 42; 2θ = 38.72°, d = 2.325 Å, rel. 100; 2θ = 50.90°, d = 1.794 Å, rel. 25

Crystal structure
a b c (Å): 4.8833 6.4862 6.4862
angles (deg): 54.63 90.00 90.00
Element x y z (fractional)
Mg  0.0000  0.0000  0.0000
Mg  0.0000  0.4703  0.4703
Mg  0.0000  0.4987  0.9938
Mg  0.0000  0.9938  0.4987
Mg  0.5000  0.3469  0.8489
Mg  0.5000  0.8489  0.3469
Zr  0.5000  0.8497  0.8497
Cu  0.5000  0.3143  0.3143

---

[5]
Computed X-ray diffraction stick pattern
Compound: MnCu3
Radiation: λ = 1.5418 Å (Cu Kα)
Structure: a PBE-relaxed structure
Kinematic intensities with the Lorentz-polarization factor, no thermal factor.

Principal peaks in the range 2θ = 10–80°, sorted by position:
2θ = 28.93°, d = 3.086 Å, rel. 1; 2θ = 40.08°, d = 2.250 Å, rel. 25; 2θ = 42.65°, d = 2.120 Å, rel. 27; 2θ = 45.65°, d = 1.987 Å, rel. 100; 2θ = 59.95°, d = 1.543 Å, rel. 14; 2θ = 72.81°, d = 1.299 Å, rel. 15

Crystal structure
a b c (Å): 5.1960 5.1960 4.2400
angles (deg): 90.00 90.00 120.00
Element x y z (fractional)
Mn  0.3333  0.6667  0.2500
Mn  0.6667  0.3333  0.7500
Cu  0.1659  0.3319  0.7500
Cu  0.1659  0.8341  0.7500
Cu  0.3319  0.1659  0.2500
Cu  0.6681  0.8341  0.7500
Cu  0.8341  0.1659  0.2500
Cu  0.8341  0.6681  0.2500

---

[6]
Computed X-ray diffraction stick pattern
Compound: Mn3CuN
Radiation: λ = 1.5418 Å (Cu Kα)
Structure: a PBE-relaxed structure
Kinematic intensities with the Lorentz-polarization factor, no thermal factor.

Principal peaks in the range 2θ = 10–80°, sorted by position:
2θ = 33.09°, d = 2.707 Å, rel. 4; 2θ = 40.82°, d = 2.211 Å, rel. 100; 2θ = 47.49°, d = 1.914 Å, rel. 58; 2θ = 59.10°, d = 1.563 Å, rel. 1; 2θ = 69.43°, d = 1.354 Å, rel. 33

Crystal structure
a b c (Å): 3.8288 3.8288 3.8288
angles (deg): 90.00 90.00 90.00
Element x y z (fractional)
Mn  0.0000  0.0000  0.5000
Mn  0.0000  0.5000  0.0000
Mn  0.5000  0.0000  0.0000
Cu  0.5000  0.5000  0.5000
N  0.0000  0.0000  0.0000

---

[7]
Computed X-ray diffraction stick pattern
Compound: Mn10CuN8
Radiation: λ = 1.5418 Å (Cu Kα)
Structure: a PBE-relaxed structure
Kinematic intensities with the Lorentz-polarization factor, no thermal factor.

Principal peaks in the range 2θ = 10–80°, sorted by position:
2θ = 37.94°, d = 2.371 Å, rel. 100; 2θ = 38.16°, d = 2.358 Å, rel. 100; 2θ = 43.36°, d = 2.087 Å, rel. 54; 2θ = 44.57°, d = 2.033 Å, rel. 55; 2θ = 44.73°, d = 2.026 Å, rel. 64; 2θ = 64.05°, d = 1.454 Å, rel. 29; 2θ = 64.99°, d = 1.435 Å, rel. 30; 2θ = 77.94°, d = 1.226 Å, rel. 20

Crystal structure
a b c (Å): 7.6914 7.6914 6.5664
angles (deg): 106.09 106.09 30.54
Element x y z (fractional)
Mn  0.0395  0.0395  0.2313
Mn  0.1522  0.1522  0.7146
Mn  0.2108  0.2108  0.1727
Mn  0.3247  0.3247  0.5689
Mn  0.4044  0.4044  0.0387
Mn  0.5956  0.5956  0.9613
Mn  0.6753  0.6753  0.4311
Mn  0.7892  0.7892  0.8273
Mn  0.8478  0.8478  0.2854
Mn  0.9605  0.9605  0.7687
Cu  0.5000  0.5000  0.5000
N  0.0954  0.0954  0.9523
N  0.1767  0.1767  0.4306
N  0.3434  0.3434  0.2714
N  0.4534  0.4534  0.7699
N  0.5466  0.5466  0.2301
N  0.6566  0.6566  0.7286
N  0.8233  0.8233  0.5694
N  0.9046  0.9046  0.0477

---

[8]
Computed X-ray diffraction stick pattern
Compound: Mn5CuN4
Radiation: λ = 1.5418 Å (Cu Kα)
Structure: a PBE-relaxed structure
Kinematic intensities with the Lorentz-polarization factor, no thermal factor.

Principal peaks in the range 2θ = 10–80°, sorted by position:
2θ = 38.70°, d = 2.327 Å, rel. 41; 2θ = 39.06°, d = 2.306 Å, rel. 87; 2θ = 39.35°, d = 2.290 Å, rel. 51; 2θ = 39.57°, d = 2.277 Å, rel. 100; 2θ = 56.38°, d = 1.632 Å, rel. 58; 2θ = 70.63°, d = 1.334 Å, rel. 15; 2θ = 71.84°, d = 1.314 Å, rel. 29; 2θ = 79.99°, d = 1.199 Å, rel. 20

Crystal structure
a b c (Å): 5.6442 7.8347 4.6531
angles (deg): 90.00 90.00 90.00
Element x y z (fractional)
Mn  0.0140  0.0637  0.2490
Mn  0.0140  0.4363  0.2490
Mn  0.2500  0.7500  0.2535
Mn  0.4860  0.0637  0.2490
Mn  0.4860  0.4363  0.2490
Mn  0.5140  0.5637  0.7510
Mn  0.5140  0.9363  0.7510
Mn  0.7500  0.2500  0.7465
Mn  0.9860  0.5637  0.7510
Mn  0.9860  0.9363  0.7510
Cu  0.2500  0.2500  0.7934
Cu  0.7500  0.7500  0.2066
N  0.0014  0.7500  0.5164
N  0.2500  0.5499  0.0120
N  0.2500  0.9501  0.0120
N  0.4986  0.7500  0.5164
N  0.5014  0.2500  0.4836
N  0.7500  0.0499  0.9880
N  0.7500  0.4501  0.9880
N  0.9986  0.2500  0.4836

---

[9]
Computed X-ray diffraction stick pattern
Compound: Mn2CuN2
Radiation: λ = 1.5418 Å (Cu Kα)
Structure: a PBE-relaxed structure
Kinematic intensities with the Lorentz-polarization factor, no thermal factor.

Principal peaks in the range 2θ = 10–80°, sorted by position:
2θ = 32.36°, d = 2.767 Å, rel. 41; 2θ = 32.49°, d = 2.756 Å, rel. 81; 2θ = 37.66°, d = 2.388 Å, rel. 26; 2θ = 37.83°, d = 2.378 Å, rel. 51; 2θ = 40.68°, d = 2.218 Å, rel. 100; 2θ = 44.66°, d = 2.029 Å, rel. 43; 2θ = 57.08°, d = 1.614 Å, rel. 44; 2θ = 60.65°, d = 1.527 Å, rel. 24

Crystal structure
a b c (Å): 3.2271 3.2271 6.3714
angles (deg): 104.83 104.83 59.76
Element x y z (fractional)
Mn  0.2136  0.2136  0.1404
Mn  0.7864  0.7864  0.8596
Cu  0.0000  0.0000  0.5000
N  0.1031  0.1031  0.8123
N  0.8969  0.8969  0.1877

---

[10]
Computed X-ray diffraction stick pattern
Compound: Mn2CuN2
Radiation: λ = 1.5418 Å (Cu Kα)
Structure: a PBE-relaxed structure
Kinematic intensities with the Lorentz-polarization factor, no thermal factor.

Principal peaks in the range 2θ = 10–80°, sorted by position:
2θ = 32.25°, d = 2.776 Å, rel. 4; 2θ = 38.62°, d = 2.332 Å, rel. 100; 2θ = 44.75°, d = 2.025 Å, rel. 28; 2θ = 44.96°, d = 2.016 Å, rel. 55; 2θ = 65.31°, d = 1.429 Å, rel. 31; 2θ = 65.46°, d = 1.426 Å, rel. 15; 2θ = 78.37°, d = 1.220 Å, rel. 11; 2θ = 78.66°, d = 1.216 Å, rel. 22

Crystal structure
a b c (Å): 2.8524 12.1503 2.8505
angles (deg): 90.00 90.00 90.00
Element x y z (fractional)
Mn  0.2500  0.0863  0.2421
Mn  0.2500  0.4137  0.2421
Mn  0.7500  0.5863  0.7579
Mn  0.7500  0.9137  0.7579
Cu  0.2500  0.7500  0.2816
Cu  0.7500  0.2500  0.7184
N  0.2500  0.5888  0.2583
N  0.2500  0.9112  0.2583
N  0.7500  0.0888  0.7417
N  0.7500  0.4112  0.7417

---

[11]
Computed X-ray diffraction stick pattern
Compound: NaMnCuSe2
Radiation: λ = 1.5418 Å (Cu Kα)
Structure: a PBE-relaxed structure
Kinematic intensities with the Lorentz-polarization factor, no thermal factor.

Principal peaks in the range 2θ = 10–80°, sorted by position:
2θ = 12.30°, d = 7.193 Å, rel. 55; 2θ = 24.86°, d = 3.581 Å, rel. 69; 2θ = 27.83°, d = 3.206 Å, rel. 74; 2θ = 35.37°, d = 2.538 Å, rel. 69; 2θ = 43.78°, d = 2.068 Å, rel. 100; 2θ = 45.53°, d = 1.992 Å, rel. 92; 2θ = 50.96°, d = 1.792 Å, rel. 30; 2θ = 65.00°, d = 1.435 Å, rel. 30

Crystal structure
a b c (Å): 4.1355 4.1355 7.1932
angles (deg): 90.00 90.00 120.00
Element x y z (fractional)
Na  0.0000  0.0000  0.0000
Mn  0.6667  0.3333  0.4046
Cu  0.3333  0.6667  0.6381
Se  0.3333  0.6667  0.2700
Se  0.6667  0.3333  0.7477

---

[12]
Computed X-ray diffraction stick pattern
Compound: Pr2Mn3Cu9P7
Radiation: λ = 1.5418 Å (Cu Kα)
Structure: a PBE-relaxed structure
Kinematic intensities with the Lorentz-polarization factor, no thermal factor.

Principal peaks in the range 2θ = 10–80°, sorted by position:
2θ = 32.97°, d = 2.717 Å, rel. 11; 2θ = 37.65°, d = 2.389 Å, rel. 100; 2θ = 39.88°, d = 2.261 Å, rel. 11; 2θ = 46.81°, d = 1.941 Å, rel. 16; 2θ = 48.08°, d = 1.892 Å, rel. 20; 2θ = 51.37°, d = 1.779 Å, rel. 15; 2θ = 54.75°, d = 1.677 Å, rel. 11; 2θ = 73.00°, d = 1.296 Å, rel. 10

Crystal structure
a b c (Å): 9.4122 9.4122 3.7848
angles (deg): 90.00 90.00 120.00
Element x y z (fractional)
Pr  0.0000  0.0000  0.0000
Pr  0.3333  0.6667  0.5000
Mn  0.4648  0.2151  0.0000
Mn  0.7503  0.5352  0.0000
Mn  0.7849  0.2497  0.0000
Cu  0.0501  0.2838  0.5000
Cu  0.0904  0.7157  0.0000
Cu  0.2337  0.9499  0.5000
Cu  0.2843  0.3747  0.0000
Cu  0.5114  0.4561  0.5000
Cu  0.5439  0.0553  0.5000
Cu  0.6253  0.9096  0.0000
Cu  0.7162  0.7663  0.5000
Cu  0.9447  0.4886  0.5000
P  0.0647  0.4414  0.0000
P  0.2703  0.2122  0.5000
P  0.3767  0.9353  0.0000
P  0.5586  0.6233  0.0000
P  0.6667  0.3333  0.5000
P  0.7878  0.0581  0.5000
P  0.9419  0.7297  0.5000